Entry 1:
# IrRuPt14
Simulated X-ray diffraction stick pattern, Cu Kα, 1.54184 Å. Input: the GGA-PBE geometry in Alexandria.
No peak broadening, texture or thermal motion is included.

Atomic structure:
```
data_IrRuPt14
_space_group_name_H-M_alt 'P 1'
_space_group_IT_number 1
_space_group_name_Hall 'P 1'
_cell_length_a 9.2224
_cell_length_b 5.5766
_cell_length_c 5.5766
_cell_angle_alpha 60.08
_cell_angle_beta 90.00
_cell_angle_gamma 90.00
loop_
_atom_site_label
_atom_site_fract_x
_atom_site_fract_y
_atom_site_fract_z
Ir1 0.0000 0.0000 0.0000
Ru1 0.0000 0.4997 0.4997
Pt1 0.0000 0.0007 0.5006
Pt2 0.0000 0.5006 0.0007
Pt3 0.2436 0.3329 0.8315
Pt4 0.2436 0.8315 0.3329
Pt5 0.2474 0.3344 0.3344
Pt6 0.2487 0.8339 0.8339
Pt7 0.5000 0.1672 0.1672
Pt8 0.5000 0.1680 0.6677
Pt9 0.5000 0.6673 0.6673
Pt10 0.5000 0.6677 0.1680
Pt11 0.7513 0.8339 0.8339
Pt12 0.7526 0.3344 0.3344
Pt13 0.7564 0.3329 0.8315
Pt14 0.7564 0.8315 0.3329
```

Largest 8 diffraction maxima, in order of falling intensity, 5 to 70 degrees two-theta:
two_theta	I_rel
42.23	100
38.52	40
39.07	36
67.11	22
47.89	22
63.45	10
37.22	9
55.06	6



Entry 2:
# Ir2Ru4Pt
Simulated X-ray diffraction stick pattern, Cu Kα, 1.54184 Å. Input: the GGA-PBE geometry in Alexandria.
No peak broadening, texture or thermal motion is included.

Atomic structure:
```
data_Ir2Ru4Pt
_space_group_name_H-M_alt 'P 1'
_space_group_IT_number 1
_space_group_name_Hall 'P 1'
_cell_length_a 6.6714
_cell_length_b 6.6714
_cell_length_c 6.6714
_cell_angle_alpha 112.08
_cell_angle_beta 112.08
_cell_angle_gamma 104.38
loop_
_atom_site_label
_atom_site_fract_x
_atom_site_fract_y
_atom_site_fract_z
Ir1 0.1436 0.6436 0.7872
Ir2 0.3564 0.1436 0.5000
Ir3 0.6436 0.8564 0.5000
Ir4 0.8564 0.3564 0.2128
Ru1 0.0201 0.8204 0.5000
Ru2 0.1796 0.6796 0.1997
Ru3 0.3204 0.5201 0.5000
Ru4 0.4799 0.9799 0.8003
Ru5 0.5201 0.0201 0.1997
Ru6 0.6796 0.4799 0.5000
Ru7 0.8204 0.3204 0.8003
Ru8 0.9799 0.1796 0.5000
Pt1 0.2500 0.2500 0.0000
Pt2 0.7500 0.7500 0.0000
```

Largest 8 diffraction maxima, in order of falling intensity, 5 to 70 degrees two-theta:
two_theta	I_rel
42.85	100
38.18	76
27.61	30
28.92	14
59.89	13
32.50	13
48.88	11
61.55	10



Entry 3:
# IrRu2Pt2
Simulated X-ray diffraction stick pattern, Cu Kα, 1.54184 Å. Input: the GGA-PBE geometry in Alexandria.
No peak broadening, texture or thermal motion is included.

Atomic structure:
```
data_IrRu2Pt2
_space_group_name_H-M_alt 'P 1'
_space_group_IT_number 1
_space_group_name_Hall 'P 1'
_cell_length_a 2.7397
_cell_length_b 3.8795
_cell_length_c 13.8380
_cell_angle_alpha 90.00
_cell_angle_beta 90.00
_cell_angle_gamma 90.00
loop_
_atom_site_label
_atom_site_fract_x
_atom_site_fract_y
_atom_site_fract_z
Ir1 0.0000 0.0000 0.0000
Ir2 0.5000 0.5000 0.5000
Ru1 0.0000 0.0000 0.4054
Ru2 0.0000 0.0000 0.5946
Ru3 0.5000 0.5000 0.0946
Ru4 0.5000 0.5000 0.9054
Pt1 0.0000 0.0000 0.1966
Pt2 0.0000 0.0000 0.8034
Pt3 0.5000 0.5000 0.3034
Pt4 0.5000 0.5000 0.6966
```

Largest 8 diffraction maxima, in order of falling intensity, 5 to 70 degrees two-theta:
two_theta	I_rel
40.02	100
40.30	99
46.65	65
68.25	42
46.84	32
23.82	13
68.51	12
67.71	10



Entry 4:
# TaIrRuPt
Simulated X-ray diffraction stick pattern, Cu Kα, 1.54184 Å. Input: the GGA-PBE geometry in Alexandria.
No peak broadening, texture or thermal motion is included.

Atomic structure:
```
data_TaIrRuPt
_space_group_name_H-M_alt 'P 1'
_space_group_IT_number 1
_space_group_name_Hall 'P 1'
_cell_length_a 3.8598
_cell_length_b 3.9332
_cell_length_c 4.0009
_cell_angle_alpha 90.00
_cell_angle_beta 90.00
_cell_angle_gamma 90.00
loop_
_atom_site_label
_atom_site_fract_x
_atom_site_fract_y
_atom_site_fract_z
Ta1 0.0000 0.0000 0.0000
Ir1 0.5000 0.0000 0.5000
Ru1 0.5000 0.5000 0.0000
Pt1 0.0000 0.5000 0.5000
```

Largest 8 diffraction maxima, in order of falling intensity, 5 to 70 degrees two-theta:
two_theta	I_rel
39.72	100
45.33	17
46.16	16
47.09	15
66.69	11
67.43	11
68.07	10
22.22	2



Entry 5:
# Th4IrPt2S
Simulated X-ray diffraction stick pattern, Cu Kα, 1.54184 Å. Input: the GGA-PBE geometry in Alexandria.
No peak broadening, texture or thermal motion is included.

Atomic structure:
```
data_Th4IrPt2S
_space_group_name_H-M_alt 'P 1'
_space_group_IT_number 1
_space_group_name_Hall 'P 1'
_cell_length_a 7.2528
_cell_length_b 4.1219
_cell_length_c 7.2724
_cell_angle_alpha 90.00
_cell_angle_beta 108.56
_cell_angle_gamma 90.00
loop_
_atom_site_label
_atom_site_fract_x
_atom_site_fract_y
_atom_site_fract_z
Th1 0.2451 0.0000 0.2551
Th2 0.2461 0.5000 0.7407
Th3 0.7539 0.5000 0.2593
Th4 0.7549 0.0000 0.7449
Ir1 0.0000 0.0000 0.5000
Pt1 0.5000 0.0000 0.0000
Pt2 0.5000 0.5000 0.5000
S1 0.0000 0.5000 0.0000
```

Largest 8 diffraction maxima, in order of falling intensity, 5 to 70 degrees two-theta:
two_theta	I_rel
30.27	100
43.35	51
54.31	13
42.64	13
43.93	12
62.89	9
53.29	7
53.14	7



Entry 6:
# Sb4IrPt
Simulated X-ray diffraction stick pattern, Cu Kα, 1.54184 Å. Input: the GGA-PBE geometry in Alexandria.
No peak broadening, texture or thermal motion is included.

Atomic structure:
```
data_Sb4IrPt
_space_group_name_H-M_alt 'P 1'
_space_group_IT_number 1
_space_group_name_Hall 'P 1'
_cell_length_a 6.5099
_cell_length_b 6.5249
_cell_length_c 6.5192
_cell_angle_alpha 90.00
_cell_angle_beta 91.24
_cell_angle_gamma 90.00
loop_
_atom_site_label
_atom_site_fract_x
_atom_site_fract_y
_atom_site_fract_z
Sb1 0.1205 0.1289 0.1326
Sb2 0.1205 0.3711 0.6326
Sb3 0.3695 0.6265 0.1206
Sb4 0.3695 0.8735 0.6206
Sb5 0.6305 0.1265 0.3794
Sb6 0.6305 0.3735 0.8794
Sb7 0.8795 0.6289 0.3674
Sb8 0.8795 0.8711 0.8674
Ir1 0.0000 0.0000 0.5000
Ir2 0.0000 0.5000 0.0000
Pt1 0.5000 0.0000 0.0000
Pt2 0.5000 0.5000 0.5000
```

Largest 8 diffraction maxima, in order of falling intensity, 5 to 70 degrees two-theta:
two_theta	I_rel
27.37	100
30.67	88
45.93	74
46.51	70
39.08	55
33.45	39
46.06	38
46.25	36



Entry 7:
# Sb6IrPt2
Simulated X-ray diffraction stick pattern, Cu Kα, 1.54184 Å. Input: the GGA-PBE geometry in Alexandria.
No peak broadening, texture or thermal motion is included.

Atomic structure:
```
data_Sb6IrPt2
_space_group_name_H-M_alt 'P 1'
_space_group_IT_number 1
_space_group_name_Hall 'P 1'
_cell_length_a 6.8815
_cell_length_b 6.8815
_cell_length_c 5.2825
_cell_angle_alpha 90.00
_cell_angle_beta 90.00
_cell_angle_gamma 120.00
loop_
_atom_site_label
_atom_site_fract_x
_atom_site_fract_y
_atom_site_fract_z
Sb1 0.0000 0.3525 0.2785
Sb2 0.0000 0.6475 0.7215
Sb3 0.3525 0.0000 0.2785
Sb4 0.3525 0.3525 0.7215
Sb5 0.6475 0.0000 0.7215
Sb6 0.6475 0.6475 0.2785
Ir1 0.0000 0.0000 0.5000
Pt1 0.3333 0.6667 0.0000
Pt2 0.6667 0.3333 0.0000
```

Largest 8 diffraction maxima, in order of falling intensity, 5 to 70 degrees two-theta:
two_theta	I_rel
31.02	100
43.18	80
22.49	69
45.67	63
43.69	29
34.56	27
64.66	23
56.23	17



Entry 8:
# Sc8Ir2Pt
Simulated X-ray diffraction stick pattern, Cu Kα, 1.54184 Å. Input: the GGA-PBE geometry in Alexandria.
No peak broadening, texture or thermal motion is included.

Atomic structure:
```
data_Sc8Ir2Pt
_space_group_name_H-M_alt 'P 1'
_space_group_IT_number 1
_space_group_name_Hall 'P 1'
_cell_length_a 7.2453
_cell_length_b 7.2453
_cell_length_c 5.0780
_cell_angle_alpha 99.11
_cell_angle_beta 99.11
_cell_angle_gamma 113.18
loop_
_atom_site_label
_atom_site_fract_x
_atom_site_fract_y
_atom_site_fract_z
Sc1 0.0000 0.0000 0.0000
Sc2 0.0396 0.2933 0.5920
Sc3 0.1399 0.5906 0.1853
Sc4 0.2933 0.0396 0.5920
Sc5 0.4374 0.6909 0.7784
Sc6 0.5906 0.1399 0.1853
Sc7 0.6909 0.4374 0.7784
Sc8 0.7321 0.7321 0.3708
Ir1 0.0540 0.6771 0.6857
Ir2 0.6771 0.0540 0.6857
Pt1 0.3662 0.3662 0.1823
```

Largest 8 diffraction maxima, in order of falling intensity, 5 to 70 degrees two-theta:
two_theta	I_rel
41.91	100
23.47	77
36.96	60
24.97	60
23.28	58
20.00	53
35.55	48
25.46	32



Entry 9:
# ScIrPt4
Simulated X-ray diffraction stick pattern, Cu Kα, 1.54184 Å. Input: the GGA-PBE geometry in Alexandria.
No peak broadening, texture or thermal motion is included.

Atomic structure:
```
data_ScIrPt4
_space_group_name_H-M_alt 'P 1'
_space_group_IT_number 1
_space_group_name_Hall 'P 1'
_cell_length_a 5.2347
_cell_length_b 5.2347
_cell_length_c 5.2347
_cell_angle_alpha 60.00
_cell_angle_beta 60.00
_cell_angle_gamma 60.00
loop_
_atom_site_label
_atom_site_fract_x
_atom_site_fract_y
_atom_site_fract_z
Sc1 0.0000 0.0000 0.0000
Ir1 0.7500 0.7500 0.7500
Pt1 0.3757 0.3757 0.3757
Pt2 0.3757 0.3757 0.8729
Pt3 0.3757 0.8729 0.3757
Pt4 0.8729 0.3757 0.3757
```

Largest 8 diffraction maxima, in order of falling intensity, 5 to 70 degrees two-theta:
two_theta	I_rel
40.41	100
42.29	57
20.78	34
65.52	32
34.26	14
49.23	13
53.99	8
24.04	6



Entry 10:
# Sc4IrPt5
Simulated X-ray diffraction stick pattern, Cu Kα, 1.54184 Å. Input: the GGA-PBE geometry in Alexandria.
No peak broadening, texture or thermal motion is included.

Atomic structure:
```
data_Sc4IrPt5
_space_group_name_H-M_alt 'P 1'
_space_group_IT_number 1
_space_group_name_Hall 'P 1'
_cell_length_a 7.0532
_cell_length_b 7.0532
_cell_length_c 5.6077
_cell_angle_alpha 102.02
_cell_angle_beta 102.02
_cell_angle_gamma 39.23
loop_
_atom_site_label
_atom_site_fract_x
_atom_site_fract_y
_atom_site_fract_z
Sc1 0.0908 0.0908 0.3377
Sc2 0.3109 0.3109 0.1863
Sc3 0.6891 0.6891 0.8137
Sc4 0.9092 0.9092 0.6623
Ir1 0.5000 0.5000 0.5000
Pt1 0.1117 0.1117 0.8547
Pt2 0.2968 0.2968 0.6669
Pt3 0.5000 0.5000 0.0000
Pt4 0.7032 0.7032 0.3331
Pt5 0.8883 0.8883 0.1453
```

Largest 8 diffraction maxima, in order of falling intensity, 5 to 70 degrees two-theta:
two_theta	I_rel
39.64	100
39.75	81
38.02	72
26.78	55
38.46	49
69.79	34
55.18	34
28.76	19



Entry 11:
# Y2IrPtSe
Simulated X-ray diffraction stick pattern, Cu Kα, 1.54184 Å. Input: the GGA-PBE geometry in Alexandria.
No peak broadening, texture or thermal motion is included.

Atomic structure:
```
data_Y2IrPtSe
_space_group_name_H-M_alt 'P 1'
_space_group_IT_number 1
_space_group_name_Hall 'P 1'
_cell_length_a 5.4691
_cell_length_b 5.4691
_cell_length_c 4.6711
_cell_angle_alpha 90.00
_cell_angle_beta 90.00
_cell_angle_gamma 90.00
loop_
_atom_site_label
_atom_site_fract_x
_atom_site_fract_y
_atom_site_fract_z
Y1 0.0000 0.5000 0.0000
Y2 0.5000 0.0000 0.0000
Ir1 0.0000 0.0000 0.5000
Pt1 0.0000 0.0000 0.0000
Se1 0.5000 0.5000 0.5000
```

Largest 8 diffraction maxima, in order of falling intensity, 5 to 70 degrees two-theta:
two_theta	I_rel
16.21	100
32.75	85
51.45	48
23.00	38
30.00	35
46.99	31
36.74	28
38.55	27



Entry 12:
# SiIrPt2
Simulated X-ray diffraction stick pattern, Cu Kα, 1.54184 Å. Input: the GGA-PBE geometry in Alexandria.
No peak broadening, texture or thermal motion is included.

Atomic structure:
```
data_SiIrPt2
_space_group_name_H-M_alt 'P 1'
_space_group_IT_number 1
_space_group_name_Hall 'P 1'
_cell_length_a 3.7015
_cell_length_b 2.8489
_cell_length_c 11.3028
_cell_angle_alpha 90.00
_cell_angle_beta 90.00
_cell_angle_gamma 90.00
loop_
_atom_site_label
_atom_site_fract_x
_atom_site_fract_y
_atom_site_fract_z
Si1 0.0000 0.0000 0.0000
Si2 0.0000 0.5000 0.5000
Ir1 0.5000 0.0000 0.5781
Ir2 0.5000 0.5000 0.0781
Pt1 0.0000 0.0000 0.2219
Pt2 0.0000 0.5000 0.7219
Pt3 0.5000 0.0000 0.8573
Pt4 0.5000 0.5000 0.3573
```

Largest 8 diffraction maxima, in order of falling intensity, 5 to 70 degrees two-theta:
two_theta	I_rel
40.76	100
40.15	86
39.66	72
28.83	35
64.99	34
49.23	27
51.62	15
24.04	13



Entry 13:
# Si2IrPt
Simulated X-ray diffraction stick pattern, Cu Kα, 1.54184 Å. Input: the GGA-PBE geometry in Alexandria.
No peak broadening, texture or thermal motion is included.

Atomic structure:
```
data_Si2IrPt
_space_group_name_H-M_alt 'P 1'
_space_group_IT_number 1
_space_group_name_Hall 'P 1'
_cell_length_a 3.6211
_cell_length_b 3.6211
_cell_length_c 8.6275
_cell_angle_alpha 90.00
_cell_angle_beta 90.00
_cell_angle_gamma 90.00
loop_
_atom_site_label
_atom_site_fract_x
_atom_site_fract_y
_atom_site_fract_z
Si1 0.0000 0.0000 0.0000
Si2 0.0000 0.5000 0.2500
Si3 0.5000 0.0000 0.7500
Si4 0.5000 0.5000 0.5000
Ir1 0.0000 0.5000 0.7500
Ir2 0.5000 0.0000 0.2500
Pt1 0.0000 0.0000 0.5000
Pt2 0.5000 0.5000 0.0000
```

Largest 8 diffraction maxima, in order of falling intensity, 5 to 70 degrees two-theta:
two_theta	I_rel
40.99	100
26.70	83
40.04	29
50.40	28
41.88	24
67.55	23
57.94	20
66.23	14



Entry 14:
# Si2IrPt
Simulated X-ray diffraction stick pattern, Cu Kα, 1.54184 Å. Input: the GGA-PBE geometry in Alexandria.
No peak broadening, texture or thermal motion is included.

Atomic structure:
```
data_Si2IrPt
_space_group_name_H-M_alt 'P 1'
_space_group_IT_number 1
_space_group_name_Hall 'P 1'
_cell_length_a 3.3662
_cell_length_b 3.3662
_cell_length_c 5.0821
_cell_angle_alpha 90.00
_cell_angle_beta 90.00
_cell_angle_gamma 90.00
loop_
_atom_site_label
_atom_site_fract_x
_atom_site_fract_y
_atom_site_fract_z
Si1 0.0000 0.0000 0.0000
Si2 0.5000 0.5000 0.3237
Ir1 0.0000 0.0000 0.4764
Pt1 0.5000 0.5000 0.8438
```

Largest 8 diffraction maxima, in order of falling intensity, 5 to 70 degrees two-theta:
two_theta	I_rel
31.89	100
37.80	68
44.68	49
64.56	28
54.52	24
52.69	22
17.45	18
35.32	17



Entry 15:
# TbSi2Ir2Pt
Simulated X-ray diffraction stick pattern, Cu Kα, 1.54184 Å. Input: the GGA-PBE geometry in Alexandria.
No peak broadening, texture or thermal motion is included.

Atomic structure:
```
data_TbSi2Ir2Pt
_space_group_name_H-M_alt 'P 1'
_space_group_IT_number 1
_space_group_name_Hall 'P 1'
_cell_length_a 4.5112
_cell_length_b 4.5112
_cell_length_c 5.4859
_cell_angle_alpha 90.00
_cell_angle_beta 90.00
_cell_angle_gamma 90.00
loop_
_atom_site_label
_atom_site_fract_x
_atom_site_fract_y
_atom_site_fract_z
Tb1 0.0000 0.0000 0.0000
Si1 0.0000 0.5000 0.5000
Si2 0.5000 0.0000 0.5000
Ir1 0.5000 0.5000 0.2388
Ir2 0.5000 0.5000 0.7612
Pt1 0.0000 0.0000 0.5000
```

Largest 8 diffraction maxima, in order of falling intensity, 5 to 70 degrees two-theta:
two_theta	I_rel
38.41	100
27.97	98
56.63	66
39.97	53
65.42	18
57.81	18
68.40	5
16.16	2